(1)
Nd10SmEr6: simulated XRD peak list (Cu Kα X-rays), based on DFT lattice parameters and positions (PBE).

Largest 10 diffraction maxima, most intense first, 2θ = 5–70°:
2theta	I/Imax	h k l
31.64	100	1 1 2
31.49	81	3 0 0
30.62	38	3 -1 1
45.25	27	4 -2 2
56.14	27	4 1 2
56.46	19	2 -1 4
48.38	13	3 2 1
62.11	11	6 -1 1
40.33	9	4 -1 1
58.88	9	6 -2 1

Cell and atoms:
```
data_Nd10SmEr6
_cell_length_a 9.8405
_cell_length_b 9.8405
_cell_length_c 6.9099
_cell_angle_alpha 90.00
_cell_angle_beta 90.00
_cell_angle_gamma 120.00
_symmetry_space_group_name_H-M 'P -3 1 m'
_symmetry_Int_Tables_number 162
_symmetry_space_group_name_Hall '-P 3 2'
loop_
_atom_site_label
_atom_site_type_symbol
_atom_site_fract_x
_atom_site_fract_y
_atom_site_fract_z
_atom_site_occupancy
Nd1 Nd 0.0000 0.2770 0.3191 1
Nd2 Nd 0.3333 0.6667 0.0000 1
Nd3 Nd 0.3333 0.6667 0.5000 1
Sm1 Sm 0.0000 0.0000 0.0000 1
Er1 Er 0.0000 0.3688 0.8130 1
```

=====

(2)
Nd7SmEr3: simulated XRD peak list (Cu Kα X-rays), based on DFT lattice parameters and positions (PBE).

Largest 10 diffraction maxima, most intense first, 2θ = 5–70°:
2theta	I/Imax	h k l
31.28	100	2 2 2
32.17	80	0 6 2
31.38	49	2 4 0
31.90	40	0 0 4
62.08	19	4 0 4
56.99	17	0 6 6
30.41	15	1 3 -3
45.62	14	2 8 0
45.42	14	2 4 4
45.29	14	2 4 -4

Cell and atoms:
```
data_Nd7SmEr3
_cell_length_a 7.083
_cell_length_b 19.223
_cell_length_c 11.220
_cell_angle_alpha 90.00
_cell_angle_beta 90.18
_cell_angle_gamma 90.00
_symmetry_space_group_name_H-M 'C 1 2/c 1'
_symmetry_Int_Tables_number 15
_symmetry_space_group_name_Hall '-C 2yc'
loop_
_atom_site_label
_atom_site_type_symbol
_atom_site_fract_x
_atom_site_fract_y
_atom_site_fract_z
_atom_site_occupancy
Nd1 Nd 0.000 0.160 0.250 1
Nd2 Nd 0.000 0.302 0.750 1
Nd3 Nd 0.000 0.339 0.250 1
Nd4 Nd 0.003 0.090 0.954 1
Nd5 Nd 0.005 0.415 0.516 1
Sm1 Sm 0.250 0.250 0.000 1
Er1 Er 0.242 0.489 0.752 1
Er2 Er 0.250 0.250 0.500 1
```

=====

(3)
Nd4Sm4Er3: simulated XRD peak list (Cu Kα X-rays), based on DFT lattice parameters and positions (PBE).

Largest 10 diffraction maxima, most intense first, 2θ = 5–70°:
2theta	I/Imax	h k l
31.81	100	1 0 5
31.01	28	2 0 -1
55.67	21	3 0 4
28.93	17	0 1 3
60.87	14	1 2 5
58.39	13	2 1 -9
42.92	12	2 1 2
48.16	11	0 1 8
60.39	8	2 2 -1
34.19	8	1 1 3

Cell and atoms:
```
data_Nd4Sm4Er3
_cell_length_a 5.767
_cell_length_b 3.619
_cell_length_c 17.954
_cell_angle_alpha 90.00
_cell_angle_beta 99.20
_cell_angle_gamma 90.00
_symmetry_space_group_name_H-M 'P 1 2/m 1'
_symmetry_Int_Tables_number 10
_symmetry_space_group_name_Hall '-P 2y'
loop_
_atom_site_label
_atom_site_type_symbol
_atom_site_fract_x
_atom_site_fract_y
_atom_site_fract_z
_atom_site_occupancy
Nd1 Nd 0.096 0.000 0.192 1
Nd2 Nd 0.281 0.000 0.561 1
Sm1 Sm 0.189 0.500 0.377 1
Sm2 Sm 0.455 0.000 0.911 1
Er1 Er 0.000 0.500 0.000 1
Er2 Er 0.370 0.500 0.739 1
```

=====

(4)
Nd5SmEr5: simulated XRD peak list (Cu Kα X-rays), based on DFT lattice parameters and positions (PBE).

Largest 10 diffraction maxima, most intense first, 2θ = 5–70°:
2theta	I/Imax	h k l
28.22	100	1 0 3
29.25	85	1 1 0
34.75	73	2 0 1
37.24	55	2 0 2
30.22	49	0 0 4
51.23	39	2 1 3
46.03	35	0 0 6
60.65	29	2 2 0
51.85	29	3 0 0
33.01	28	1 1 2

Cell and atoms:
```
data_Nd5SmEr5
_cell_length_a 6.1072
_cell_length_b 6.1072
_cell_length_c 11.8360
_cell_angle_alpha 90.00
_cell_angle_beta 90.00
_cell_angle_gamma 120.00
_symmetry_space_group_name_H-M 'P -6 m 2'
_symmetry_Int_Tables_number 187
_symmetry_space_group_name_Hall 'P -6 2'
loop_
_atom_site_label
_atom_site_type_symbol
_atom_site_fract_x
_atom_site_fract_y
_atom_site_fract_z
_atom_site_occupancy
Nd1 Nd 0.0000 0.0000 0.0000 1
Nd2 Nd 0.3333 0.6667 0.3173 1
Nd3 Nd 0.6667 0.3333 0.1540 1
Sm1 Sm 0.3333 0.6667 0.0000 1
Er1 Er 0.0000 0.0000 0.2662 1
Er2 Er 0.3328 0.1664 0.5000 1
```

=====

(5)
Nd5Sm2Er2: simulated XRD peak list (Cu Kα X-rays), based on DFT lattice parameters and positions (PBE).

Largest 9 diffraction maxima, most intense first, 2θ = 5–70°:
2theta	I/Imax	h k l
30.15	100	1 1 -1
34.92	34	8 0 1
59.70	29	7 1 2
50.29	24	8 2 1
35.01	17	0 2 0
59.82	14	1 3 -1
62.68	12	2 2 -2
50.22	12	2 0 -2
10.83	1	4 0 0

Cell and atoms:
```
data_Nd5Sm2Er2
_cell_length_a 32.873
_cell_length_b 5.126
_cell_length_c 3.637
_cell_angle_alpha 90.00
_cell_angle_beta 96.33
_cell_angle_gamma 90.00
_symmetry_space_group_name_H-M 'C 1 2/m 1'
_symmetry_Int_Tables_number 12
_symmetry_space_group_name_Hall '-C 2y'
loop_
_atom_site_label
_atom_site_type_symbol
_atom_site_fract_x
_atom_site_fract_y
_atom_site_fract_z
_atom_site_occupancy
Nd1 Nd 0.000 0.000 0.000 1
Nd2 Nd 0.057 0.500 0.557 1
Nd3 Nd 0.222 0.000 0.222 1
Sm1 Sm 0.165 0.500 0.667 1
Er1 Er 0.111 0.000 0.113 1
```

=====

(6)
NdSm3Er8: simulated XRD peak list (Cu Kα X-rays), based on DFT lattice parameters and positions (PBE).

Largest 10 diffraction maxima, most intense first, 2θ = 5–70°:
2theta	I/Imax	h k l
32.66	100	0 2 2
31.66	24	0 4 0
28.47	24	3 0 1
60.76	23	6 4 0
57.03	21	0 6 2
43.09	16	3 4 1
50.37	13	3 0 3
61.41	11	6 2 2
50.48	7	6 0 0
61.28	5	0 2 4

Cell and atoms:
```
data_NdSm3Er8
_cell_length_a 10.848
_cell_length_b 11.303
_cell_length_c 6.280
_cell_angle_alpha 90.00
_cell_angle_beta 90.00
_cell_angle_gamma 90.00
_symmetry_space_group_name_H-M 'I m m 2'
_symmetry_Int_Tables_number 44
_symmetry_space_group_name_Hall 'I 2 -2'
loop_
_atom_site_label
_atom_site_type_symbol
_atom_site_fract_x
_atom_site_fract_y
_atom_site_fract_z
_atom_site_occupancy
Nd1 Nd 0.000 0.000 0.000 1
Sm1 Sm 0.000 0.250 0.664 1
Sm2 Sm 0.000 0.500 0.000 1
Er1 Er 0.167 0.500 0.497 1
Er2 Er 0.168 0.000 0.497 1
Er3 Er 0.168 0.251 0.167 1
```